1.
Computed X-ray powder pattern of Tb3Nd7Er2 for Cu Kα (λ = 1.5418 Å), from a PBE-relaxed structure.

Crystal structure
```
data_Tb3Nd7Er2
_chemical_formula_sum 'Tb3 Nd7 Er2'
_cell_length_a 6.476
_cell_length_b 3.571
_cell_length_c 17.643
_cell_angle_alpha 90.00
_cell_angle_beta 95.89
_cell_angle_gamma 90.00
_symmetry_space_group_name_H-M 'P 1 2/m 1'
_symmetry_Int_Tables_number 10
loop_
_symmetry_equiv_pos_as_xyz
'x,y,z'
'-x,-y,-z'
'-x,y,-z'
'x,-y,z'
loop_
_atom_site_label
_atom_site_type_symbol
_atom_site_fract_x
_atom_site_fract_y
_atom_site_fract_z
Tb1 Tb 0.000 0.000 0.000
Tb2 Tb 0.045 0.500 0.660
Nd1 Nd 0.224 0.500 0.168
Nd2 Nd 0.243 0.000 0.506
Nd3 Nd 0.276 0.000 0.828
Nd4 Nd 0.500 0.500 0.000
Er1 Er 0.441 0.000 0.330
```

Main lines, in order of rising 2θ (10° ≤ 2θ ≤ 90°):
| index | two_theta | d [Å] | I (rel.) |
| --- | --- | --- | --- |
| 1 1 1 | 29.29 | 3.049 | 56 |
| 2 0 -3 | 30.27 | 2.953 | 80 |
| 0 0 6 | 30.56 | 2.925 | 100 |
| 1 1 2 | 30.86 | 2.897 | 97 |
| 2 0 3 | 33.10 | 2.706 | 68 |
| 1 1 -4 | 34.41 | 2.606 | 86 |



2.
Computed X-ray powder pattern of Zr2Co21B6 for Cu Kα (λ = 1.5418 Å), from a PBE-relaxed structure.

Crystal structure
```
data_Zr2Co21B6
_chemical_formula_sum 'Zr8 Co84 B24'
_cell_length_a 10.575
_cell_length_b 10.575
_cell_length_c 10.575
_cell_angle_alpha 90.00
_cell_angle_beta 90.00
_cell_angle_gamma 90.00
_symmetry_space_group_name_H-M 'F m -3 m'
_symmetry_Int_Tables_number 225
_symmetry_space_group_name_Hall '-F 4 2 3'
loop_
_atom_site_label
_atom_site_type_symbol
_atom_site_fract_x
_atom_site_fract_y
_atom_site_fract_z
Zr1 Zr 0.250 0.250 0.250
Co1 Co 0.000 0.000 0.000
Co2 Co 0.000 0.168 0.168
Co3 Co 0.114 0.114 0.386
B1 B 0.000 0.000 0.274
```

Main lines, in order of rising 2θ (10° ≤ 2θ ≤ 90°):
| index | two_theta | d [Å] | I (rel.) |
| --- | --- | --- | --- |
| 4 2 0 | 38.06 | 2.365 | 40 |
| 4 2 2 | 41.85 | 2.159 | 39 |
| 3 3 3 | 44.52 | 2.035 | 100 |
| 4 4 0 | 48.71 | 1.869 | 24 |
| 5 3 1 | 51.10 | 1.787 | 25 |
| 6 6 0 | 76.43 | 1.246 | 27 |



3.
Computed X-ray powder pattern of Dy4Ho5Al for Cu Kα (λ = 1.5418 Å), from a PBE-relaxed structure.

Crystal structure
```
data_Dy4Ho5Al
_chemical_formula_sum 'Dy4 Ho5 Al1'
_cell_length_a 3.522
_cell_length_b 3.522
_cell_length_c 23.966
_cell_angle_alpha 90.00
_cell_angle_beta 90.00
_cell_angle_gamma 90.00
_symmetry_space_group_name_H-M 'P 4/m m m'
_symmetry_Int_Tables_number 123
_symmetry_space_group_name_Hall '-P 4 2'
loop_
_atom_site_label
_atom_site_type_symbol
_atom_site_fract_x
_atom_site_fract_y
_atom_site_fract_z
Dy1 Dy 0.000 0.000 0.105
Dy2 Dy 0.000 0.000 0.314
Ho1 Ho 0.500 0.500 0.000
Ho2 Ho 0.500 0.500 0.210
Ho3 Ho 0.500 0.500 0.421
Al1 Al 0.000 0.000 0.500
```

Main lines, in order of rising 2θ (10° ≤ 2θ ≤ 90°):
| index | two_theta | d [Å] | I (rel.) |
| --- | --- | --- | --- |
| 1 0 4 | 29.42 | 3.036 | 14 |
| 1 0 5 | 31.52 | 2.838 | 100 |
| 1 1 0 | 36.07 | 2.490 | 41 |
| 2 0 0 | 51.93 | 1.761 | 15 |
| 1 0 14 | 60.10 | 1.540 | 14 |
| 2 1 5 | 62.03 | 1.496 | 29 |



4.
Computed X-ray powder pattern of ThSb3Rh5 for Cu Kα (λ = 1.5418 Å), from a PBE-relaxed structure.

Crystal structure
```
data_ThSb3Rh5
_chemical_formula_sum 'Th4 Sb12 Rh20'
_cell_length_a 3.948
_cell_length_b 13.931
_cell_length_c 13.436
_cell_angle_alpha 90.00
_cell_angle_beta 90.00
_cell_angle_gamma 90.00
_symmetry_space_group_name_H-M 'C m c m'
_symmetry_Int_Tables_number 63
_symmetry_space_group_name_Hall '-C 2c 2'
loop_
_atom_site_label
_atom_site_type_symbol
_atom_site_fract_x
_atom_site_fract_y
_atom_site_fract_z
Th1 Th 0.000 0.093 0.250
Sb1 Sb 0.000 0.138 0.750
Sb2 Sb 0.000 0.377 0.536
Rh1 Rh 0.000 0.000 0.000
Rh2 Rh 0.000 0.198 0.569
Rh3 Rh 0.000 0.463 0.149
```

Main lines, in order of rising 2θ (10° ≤ 2θ ≤ 90°):
| index | two_theta | d [Å] | I (rel.) |
| --- | --- | --- | --- |
| 1 1 3 | 30.87 | 2.897 | 47 |
| 1 3 2 | 32.62 | 2.745 | 46 |
| 1 1 4 | 35.68 | 2.516 | 58 |
| 1 5 1 | 40.20 | 2.243 | 45 |
| 1 5 2 | 41.90 | 2.156 | 100 |
| 2 0 0 | 45.98 | 1.974 | 49 |